Simulated powder X-ray diffraction pattern of YFe6Co5W for copper Kα, from a DFT-relaxed cell (PBE, Alexandria).
Lines closer than 0.1° are merged.

Peak list (10 most intense, 10° ≤ 2θ ≤ 90°, in order of rising 2θ)
2theta	I_rel
14.86	39
21.72	25
37.25	29
37.41	34
38.48	23
43.04	35
43.25	100
44.29	71
48.49	24
49.53	39

Structural model:
Lattice parameters (Å, degrees): 6.4037 6.4037 6.4037 137.14 97.95 97.39
Atoms (fractional coordinates):
1 Y 0.0000 0.0000 0.0000
2 Fe 0.0010 0.0019 0.4990
3 Fe 0.0010 0.5021 0.9992
4 Fe 0.2282 0.7282 0.5000
5 Fe 0.5029 0.0019 0.0008
6 Fe 0.5029 0.5021 0.5010
7 Fe 0.7765 0.2765 0.5000
8 Co 0.2289 0.5045 0.7244
9 Co 0.3636 0.0043 0.3593
10 Co 0.6451 0.0043 0.6407
11 Co 0.6536 0.6536 0.0000
12 Co 0.7801 0.5045 0.2756
13 W 0.3739 0.3739 0.0000



Simulated powder X-ray diffraction pattern of YFeCo for copper Kα, from a DFT-relaxed cell (PBE, Alexandria).
Lines closer than 0.1° are merged.

Peak list (10 most intense, 10° ≤ 2θ ≤ 90°, in order of rising 2θ)
2theta	I_rel
35.13	99
40.62	100
41.29	91
41.71	44
41.93	46
42.74	40
43.60	37
65.95	21
66.76	21
74.25	53

Structural model:
Lattice parameters (Å, degrees): 5.1075 5.2583 7.1291 90.00 90.00 90.00
Atoms (fractional coordinates):
1 Y 0.0000 0.2500 0.1256
2 Y 0.0000 0.7500 0.8744
3 Y 0.5000 0.2500 0.3744
4 Y 0.5000 0.7500 0.6256
5 Fe 0.2500 0.2500 0.7500
6 Fe 0.2500 0.7500 0.2500
7 Fe 0.7500 0.2500 0.7500
8 Fe 0.7500 0.7500 0.2500
9 Co 0.0000 0.0000 0.5000
10 Co 0.0000 0.5000 0.5000
11 Co 0.5000 0.0000 0.0000
12 Co 0.5000 0.5000 0.0000



Simulated powder X-ray diffraction pattern of YFe2Co9 for copper Kα, from a DFT-relaxed cell (PBE, Alexandria).
Lines closer than 0.1° are merged.

Peak list (10 most intense, 10° ≤ 2θ ≤ 90°, in order of rising 2θ)
2theta	I_rel
37.07	31
40.46	100
44.83	42
45.13	47
46.31	87
46.71	67
48.15	17
50.90	27
72.39	17
88.80	16

Structural model:
Lattice parameters (Å, degrees): 8.0182 8.0182 4.6825 90.00 90.00 90.00
Atoms (fractional coordinates):
1 Y 0.0000 0.0000 0.0000
2 Y 0.5000 0.5000 0.0000
3 Fe 0.1153 0.3847 0.0000
4 Fe 0.3847 0.8847 0.0000
5 Fe 0.6153 0.1153 0.0000
6 Fe 0.8847 0.6153 0.0000
7 Co 0.0000 0.5000 0.5000
8 Co 0.0652 0.2138 0.5000
9 Co 0.1788 0.6788 0.2350
10 Co 0.1788 0.6788 0.7650
11 Co 0.2138 0.9348 0.5000
12 Co 0.2862 0.4348 0.5000
13 Co 0.3212 0.1788 0.2350
14 Co 0.3212 0.1788 0.7650
15 Co 0.4348 0.7138 0.5000
16 Co 0.5000 0.0000 0.5000
17 Co 0.5652 0.2862 0.5000
18 Co 0.6788 0.8212 0.2350
19 Co 0.6788 0.8212 0.7650
20 Co 0.7138 0.5652 0.5000
21 Co 0.7862 0.0652 0.5000
22 Co 0.8212 0.3212 0.2350
23 Co 0.8212 0.3212 0.7650
24 Co 0.9348 0.7862 0.5000



Simulated powder X-ray diffraction pattern of YFe8Co2 for copper Kα, from a DFT-relaxed cell (PBE, Alexandria).
Lines closer than 0.1° are merged.

Peak list (10 most intense, 10° ≤ 2θ ≤ 90°, in order of rising 2θ)
2theta	I_rel
11.32	25
27.58	15
37.77	17
39.79	45
40.76	100
43.08	46
43.91	13
50.01	71
60.08	24
88.17	12

Structural model:
Lattice parameters (Å, degrees): 8.8730 8.1669 4.8208 81.82 65.65 32.53
Atoms (fractional coordinates):
1 Y 0.0000 0.0000 0.0000
2 Fe 0.0813 0.5812 0.9187
3 Fe 0.1693 0.6273 0.3727
4 Fe 0.3727 0.8307 0.1693
5 Fe 0.4188 0.9187 0.5812
6 Fe 0.5812 0.0813 0.4188
7 Fe 0.6273 0.1693 0.8307
8 Fe 0.8307 0.3727 0.6273
9 Fe 0.9187 0.4188 0.0813
10 Co 0.2500 0.2500 0.2500
11 Co 0.7500 0.7500 0.7500



Simulated powder X-ray diffraction pattern of ZnFe3Co3 for copper Kα, from a DFT-relaxed cell (PBE, Alexandria).
Lines closer than 0.1° are merged.

Peak list (10 most intense, 10° ≤ 2θ ≤ 90°, in order of rising 2θ)
2theta	I_rel
31.37	22
38.68	19
40.86	75
42.95	100
44.96	26
46.90	76
48.79	100
54.14	20
74.40	17
85.75	45

Structural model:
Lattice parameters (Å, degrees): 6.9843 6.9843 6.9843 90.00 90.00 90.00
Atoms (fractional coordinates):
1 Zn 0.0319 0.4681 0.5319
2 Zn 0.4681 0.5319 0.0319
3 Zn 0.5319 0.0319 0.4681
4 Zn 0.9681 0.9681 0.9681
5 Fe 0.1443 0.6443 0.8557
6 Fe 0.1493 0.8507 0.3507
7 Fe 0.1693 0.1693 0.1693
8 Fe 0.3307 0.8307 0.6693
9 Fe 0.3507 0.1493 0.8507
10 Fe 0.3557 0.3557 0.3557
11 Fe 0.6443 0.8557 0.1443
12 Fe 0.6493 0.6493 0.6493
13 Fe 0.6693 0.3307 0.8307
14 Fe 0.8307 0.6693 0.3307
15 Fe 0.8507 0.3507 0.1493
16 Fe 0.8557 0.1443 0.6443
17 Co 0.0542 0.3231 0.8681
18 Co 0.1319 0.5542 0.1769
19 Co 0.1769 0.1319 0.5542
20 Co 0.3231 0.8681 0.0542
21 Co 0.3681 0.4458 0.6769
22 Co 0.4458 0.6769 0.3681
23 Co 0.5542 0.1769 0.1319
24 Co 0.6319 0.9458 0.8231
25 Co 0.6769 0.3681 0.4458
26 Co 0.8231 0.6319 0.9458
27 Co 0.8681 0.0542 0.3231
28 Co 0.9458 0.8231 0.6319



Simulated powder X-ray diffraction pattern of ZnFeCo for copper Kα, from a DFT-relaxed cell (PBE, Alexandria).
Lines closer than 0.1° are merged.

Peak list (10 most intense, 10° ≤ 2θ ≤ 90°, in order of rising 2θ)
2theta	I_rel
42.99	100
43.22	98
50.11	31
50.24	61
73.48	9
73.69	36
74.12	9
89.23	32
89.35	11
89.71	21

Structural model:
Lattice parameters (Å, degrees): 2.5776 3.6407 7.6756 90.00 90.00 90.00
Atoms (fractional coordinates):
1 Zn 0.0000 0.0000 0.0000
2 Zn 0.5000 0.5000 0.5000
3 Fe 0.0000 0.0000 0.3288
4 Fe 0.5000 0.5000 0.8288
5 Co 0.0000 0.0000 0.6669
6 Co 0.5000 0.5000 0.1669